Structure and simulated PXRD pattern of RbBe2F5 (a DFT-relaxed cell (PBE, the Materials Project); Cu Kα (λ = 1.5418 Å)).
Lines closer than 0.1° are merged.

Crystal structure
Cell lengths 4.7221, 4.7387, 6.2122 Å; angles 91.05, 91.32, 119.54 degrees
Space group P1 (No. 1)
Asymmetric unit:
Rb  0.0000  0.0000  0.0000
Be  0.3129  0.6915  0.4065
Be  0.6394  0.3527  0.5901
F  0.3528  0.0356  0.4727
F  0.3572  0.6672  0.1686
F  0.5644  0.6415  0.5516
F  0.6679  0.3138  0.8283
F  0.9581  0.4278  0.4690

Top 10 peaks for 2θ from 10° to 80°, in order of rising 2θ:
d 4.114, 2θ 21.60, rel. 31, hkl 0 1 0
d 3.485, 2θ 25.56, rel. 100, hkl 1 0 -1
d 3.411, 2θ 26.13, rel. 86, hkl 1 -1 1
d 3.380, 2θ 26.37, rel. 67, hkl 0 1 1
d 3.103, 2θ 28.77, rel. 53, hkl 0 0 2
d 2.468, 2θ 36.40, rel. 25, hkl 1 -1 2
d 2.439, 2θ 36.85, rel. 25, hkl 0 1 2
d 2.369, 2θ 37.98, rel. 37, hkl 1 -2 0
d 2.224, 2θ 40.56, rel. 39, hkl -2 1 1
d 2.191, 2θ 41.21, rel. 46, hkl 2 -1 1

Structure and simulated PXRD pattern of CdSe (a DFT-relaxed cell (PBE, the Materials Project); Cu Kα (λ = 1.5418 Å)).
Lines closer than 0.1° are merged.

Crystal structure
Cell lengths 5.7479, 5.7479, 5.7479 Å; angles 90.00, 90.00, 90.00 degrees
Space group Fm-3m (No. 225)
Asymmetric unit:
Cd  0.0000  0.0000  0.0000
Se  0.0000  0.0000  0.5000

Top 8 peaks for 2θ from 10° to 80°, in order of rising 2θ:
d 3.319, 2θ 26.87, rel. 6, hkl 1 1 1
d 2.874, 2θ 31.12, rel. 100, hkl 2 0 0
d 2.032, 2θ 44.59, rel. 73, hkl 2 2 0
d 1.733, 2θ 52.83, rel. 3, hkl 3 1 1
d 1.659, 2θ 55.37, rel. 25, hkl 2 2 2
d 1.437, 2θ 64.89, rel. 11, hkl 4 0 0
d 1.319, 2θ 71.55, rel. 1, hkl 3 3 1
d 1.285, 2θ 73.71, rel. 31, hkl 4 2 0